Starting from a DFT-relaxed cell (PBE+U, the Materials Project), the powder diffraction line list of Fe2CoO4 was simulated for Cu Kα, 1.54184 Å.
Peak positions follow from Bragg's law for the DFT cell and can differ from measured ones.

Top 12 peaks for 2θ = 10–80°, by angle:
two_theta	I/Imax	hkl
18.2	19	0 0 3
29.8	27	0 2 0
29.9	27	3 1 0
35.1	100	1 1 -5
35.2	98	2 0 5
36.8	13	2 2 2
42.7	28	2 2 -4
42.8	14	4 0 4
56.4	34	1 3 -5
56.6	26	5 1 5
61.8	15	0 4 0
62.1	74	6 2 0

Cell and atoms:
```
data_Fe2CoO4
_chemical_formula_sum 'Fe24 Co12 O48'
_space_group_name_H-M_alt 'C 1 2 1'
_space_group_IT_number 5
_space_group_name_Hall 'C 2y'
_cell_length_a 10.339
_cell_length_b 6.001
_cell_length_c 14.645
_cell_angle_alpha 90.00
_cell_angle_beta 90.00
_cell_angle_gamma 90.00
loop_
_atom_site_label
_atom_site_fract_x
_atom_site_fract_y
_atom_site_fract_z
Fe1 0.001 0.000 0.377
Fe2 0.083 0.247 0.168
Fe3 0.167 0.493 0.710
Fe4 0.167 0.996 0.833
Fe5 0.169 0.499 0.956
Fe6 0.249 0.748 0.499
Co1 0.000 0.499 0.500
Co2 0.000 0.995 0.000
Co3 0.083 0.746 0.167
Co4 0.165 0.499 0.335
O1 0.005 0.006 0.756
O2 0.005 0.494 0.247
O3 0.082 0.230 0.910
O4 0.085 0.765 0.911
O5 0.090 0.743 0.420
O6 0.091 0.255 0.420
O7 0.159 0.002 0.086
O8 0.166 0.498 0.576
O9 0.171 0.490 0.090
O10 0.173 0.998 0.577
O11 0.248 0.263 0.244
O12 0.249 0.226 0.755
```